Hf4CoP: computed powder diffraction line list (Cu Kα (weighted mean of Kα1 and Kα2)), based on a cell relaxed with PBE.
Kinematic intensities with the Lorentz-polarization factor, no thermal factor.

Atomic structure:
```
data_Hf4CoP
_space_group_name_H-M_alt 'P 4/m c c'
_space_group_IT_number 124
_space_group_name_Hall '-P 4 2c'
_cell_length_a 6.3503
_cell_length_b 6.3503
_cell_length_c 5.3439
_cell_angle_alpha 90.00
_cell_angle_beta 90.00
_cell_angle_gamma 90.00
loop_
_atom_site_label
_atom_site_fract_x
_atom_site_fract_y
_atom_site_fract_z
Hf1 0.1582 0.3308 0.0000
Co1 0.0000 0.0000 0.2500
P1 0.5000 0.5000 0.2500
```

Most intense lines, 2θ from 10° to 90°, low angle first:
- 2θ 33.5, I = 20
- 2θ 35.8, I = 100
- 2θ 44.3, I = 17
- 2θ 45.2, I = 19
- 2θ 61.4, I = 21
- 2θ 62.8, I = 17


AcCuBiS4: computed powder diffraction line list (Cu Kα (weighted mean of Kα1 and Kα2)), based on a cell relaxed with PBE.
Kinematic intensities with the Lorentz-polarization factor, no thermal factor.

Atomic structure:
```
data_AcCuBiS4
_space_group_name_H-M_alt 'P 1 21/m 1'
_space_group_IT_number 11
_space_group_name_Hall '-P 2yb'
_cell_length_a 6.9362
_cell_length_b 5.8395
_cell_length_c 8.3300
_cell_angle_alpha 90.00
_cell_angle_beta 107.35
_cell_angle_gamma 90.00
loop_
_atom_site_label
_atom_site_fract_x
_atom_site_fract_y
_atom_site_fract_z
Ac1 0.2374 0.2500 0.4280
Cu1 0.2785 0.7500 0.2059
Bi1 0.2207 0.2500 0.9238
S1 0.0672 0.7500 0.3752
S2 0.0798 0.7500 0.9163
S3 0.4765 0.5149 0.7431
```

Most intense lines, 2θ from 10° to 90°, low angle first:
- 2θ 20.3, I = 100
- 2θ 27.1, I = 88
- 2θ 29.5, I = 73
- 2θ 30.6, I = 45
- 2θ 33.3, I = 71
- 2θ 43.4, I = 51


LiSmAlPd2: computed powder diffraction line list (Cu Kα (weighted mean of Kα1 and Kα2)), based on a cell relaxed with PBE.
Kinematic intensities with the Lorentz-polarization factor, no thermal factor.

Atomic structure:
```
data_LiSmAlPd2
_space_group_name_H-M_alt 'I -4 m 2'
_space_group_IT_number 119
_space_group_name_Hall 'I -4 -2'
_cell_length_a 3.9458
_cell_length_b 3.9458
_cell_length_c 12.0454
_cell_angle_alpha 90.00
_cell_angle_beta 90.00
_cell_angle_gamma 90.00
loop_
_atom_site_label
_atom_site_fract_x
_atom_site_fract_y
_atom_site_fract_z
Li1 0.0000 0.0000 0.0000
Sm1 0.0000 0.5000 0.2500
Al1 0.0000 0.0000 0.5000
Pd1 0.0000 0.5000 0.6356
```

Most intense lines, 2θ from 10° to 90°, low angle first:
- 2θ 14.7, I = 45
- 2θ 31.8, I = 100
- 2θ 32.1, I = 75
- 2θ 35.5, I = 45
- 2θ 44.0, I = 66
- 2θ 65.6, I = 40